Ac12MgGa7: theoretical X-ray diffraction stick pattern (copper Kα), based on a DFT-relaxed cell (GGA-PBE, Alexandria).

Atomic structure:
```
data_Ac12MgGa7
_symmetry_space_group_name_H-M 'R -3'
_symmetry_Int_Tables_number 148
_symmetry_space_group_name_Hall '-R 3'
_cell_length_a 15.8003
_cell_length_b 15.8003
_cell_length_c 9.8861
_cell_angle_alpha 90.00
_cell_angle_beta 90.00
_cell_angle_gamma 120.00
loop_
_atom_site_label
_atom_site_type_symbol
_atom_site_fract_x
_atom_site_fract_y
_atom_site_fract_z
Ac1 Ac 0.0323 0.4391 0.3055
Ac2 Ac 0.0440 0.1751 0.2712
Mg1 Mg 0.0000 0.0000 0.0000
Ga1 Ga 0.0000 0.0000 0.5000
Ga2 Ga 0.0511 0.1927 0.9321
```

The 8 most intense peaks (2θ from 5° to 70°), by angle:
2θ/deg, I_rel
25.1, 100
27.1, 24
27.6, 29
29.4, 24
29.7, 70
29.9, 67
33.5, 28
41.2, 34

Sr2Cd2Hg7: theoretical X-ray diffraction stick pattern (copper Kα), based on a DFT-relaxed cell (GGA-PBE, Alexandria).

Atomic structure:
```
data_Sr2Cd2Hg7
_symmetry_space_group_name_H-M 'C 1 2/m 1'
_symmetry_Int_Tables_number 12
_cell_length_a 11.3872
_cell_length_b 10.3815
_cell_length_c 5.7866
_cell_angle_alpha 90.00
_cell_angle_beta 117.38
_cell_angle_gamma 90.00
loop_
_symmetry_equiv_pos_as_xyz
'x,y,z'
'-x,-y,-z'
'-x,y,-z'
'x,-y,z'
'x+1/2,y+1/2,z'
'-x+1/2,-y+1/2,-z'
'-x+1/2,y+1/2,-z'
'x+1/2,-y+1/2,z'
loop_
_atom_site_label
_atom_site_type_symbol
_atom_site_fract_x
_atom_site_fract_y
_atom_site_fract_z
Sr1 Sr 0.0000 0.2147 0.0000
Cd1 Cd 0.2285 0.5000 0.9861
Hg1 Hg 0.0000 0.0000 0.5000
Hg2 Hg 0.0936 0.5000 0.3422
Hg3 Hg 0.1714 0.2494 0.6605
```

The 8 most intense peaks (2θ from 5° to 70°), by angle:
2θ/deg, I_rel
17.3, 16
31.4, 39
34.6, 49
34.7, 100
35.6, 68
47.4, 23
59.3, 20
62.0, 16

Pa4Zn3O12: theoretical X-ray diffraction stick pattern (copper Kα), based on a DFT-relaxed cell (GGA-PBE, Alexandria).

Atomic structure:
```
data_Pa4Zn3O12
_symmetry_space_group_name_H-M 'I m -3'
_symmetry_Int_Tables_number 204
_symmetry_space_group_name_Hall '-I 2 2 3'
_cell_length_a 8.2548
_cell_length_b 8.2548
_cell_length_c 8.2548
_cell_angle_alpha 90.00
_cell_angle_beta 90.00
_cell_angle_gamma 90.00
loop_
_atom_site_label
_atom_site_type_symbol
_atom_site_fract_x
_atom_site_fract_y
_atom_site_fract_z
Pa1 Pa 0.2500 0.2500 0.2500
Zn1 Zn 0.0000 0.0000 0.5000
O1 O 0.0000 0.3219 0.1745
```

The 8 most intense peaks (2θ from 5° to 70°), by angle:
2θ/deg, I_rel
21.5, 51
30.6, 100
37.8, 13
43.9, 22
49.4, 26
54.5, 48
63.8, 13
68.2, 10

What did the first record say?
Ac12MgGa7: theoretical X-ray diffraction stick pattern (copper Kα), based on a DFT-relaxed cell (GGA-PBE, Alexandria).

Atomic structure:
```
data_Ac12MgGa7
_symmetry_space_group_name_H-M 'R -3'
_symmetry_Int_Tables_number 148
_symmetry_space_group_name_Hall '-R 3'
_cell_length_a 15.8003
_cell_length_b 15.8003
_cell_length_c 9.8861
_cell_angle_alpha 90.00
_cell_angle_beta 90.00
_cell_angle_gamma 120.00
loop_
_atom_site_label
_atom_site_type_symbol
_atom_site_fract_x
_atom_site_fract_y
_atom_site_fract_z
Ac1 Ac 0.0323 0.4391 0.3055
Ac2 Ac 0.0440 0.1751 0.2712
Mg1 Mg 0.0000 0.0000 0.0000
Ga1 Ga 0.0000 0.0000 0.5000
Ga2 Ga 0.0511 0.1927 0.9321
```

The 8 most intense peaks (2θ from 5° to 70°), by angle:
2θ/deg, I_rel
25.1, 100
27.1, 24
27.6, 29
29.4, 24
29.7, 70
29.9, 67
33.5, 28
41.2, 34